For Ba2VP2O10, a structure optimized by DFT (GGA+U) gives the calculated PXRD pattern in this record (CuKα).

Structure:
```
data_Ba2VP2O10
_chemical_formula_sum 'Ba4 V2 P4 O20'
_cell_length_a 12.6784
_cell_length_b 5.1811
_cell_length_c 7.2119
_cell_angle_alpha 90.00
_cell_angle_beta 104.29
_cell_angle_gamma 90.00
_space_group_name_H-M_alt 'C 1 m 1'
_space_group_IT_number 8
loop_
_space_group_symop_operation_xyz
'x,y,z'
'x,-y,z'
'x+1/2,y+1/2,z'
'x+1/2,-y+1/2,z'
loop_
_atom_site_label
_atom_site_type_symbol
_atom_site_fract_x
_atom_site_fract_y
_atom_site_fract_z
Ba1 Ba 0.0000 0.0000 0.0000
Ba2 Ba 0.1762 0.5000 0.5827
V1 V 0.3485 0.0000 0.2826
P1 P 0.2123 0.5000 0.0855
P2 P 0.4765 0.5000 0.5100
O1 O 0.0903 0.0000 0.6480
O2 O 0.0923 0.5000 0.9773
O3 O 0.2332 0.2615 0.2284
O4 O 0.2882 0.5000 0.9525
O5 O 0.3338 0.0000 0.5447
O6 O 0.3762 0.0000 0.0687
O7 O 0.3870 0.5000 0.6184
O8 O 0.4678 0.2626 0.3700
```

Top 10 peaks for 10° ≤ 2θ ≤ 80°, low angle first:
(1 1 0), d = 4.774 Å, 18.6 deg, I 34
(2 0 1), d = 4.132 Å, 21.5 deg, I 92
(0 0 2), d = 3.494 Å, 25.5 deg, I 29
(2 0 -2), d = 3.422 Å, 26.0 deg, I 40
(3 1 0), d = 3.213 Å, 27.8 deg, I 100
(1 1 2), d = 2.699 Å, 33.2 deg, I 36
(3 1 -2), d = 2.633 Å, 34.1 deg, I 33
(0 2 0), d = 2.590 Å, 34.6 deg, I 41
(0 2 2), d = 2.081 Å, 43.5 deg, I 23
(5 1 1), d = 1.993 Å, 45.5 deg, I 31